Calculated X-ray diffraction stick pattern
Compound: Tb3ErRu3
Radiation: Cu Kα
Structure: a structure optimized by DFT (GGA-PBE)
Peak positions follow from Bragg's law for the DFT cell and can differ from measured ones.

Structural model:
```
Tb3ErRu3
1.0
4.7656 2.7514 1.9507
-4.7656 2.7514 1.9507
0.0000 -5.5029 1.9507
Tb Er Ru
3 1 3
direct
0.0575 0.4713 0.4713
0.4713 0.0575 0.4713
0.4713 0.4713 0.0575
0.8857 0.8857 0.8857
0.4707 0.9704 0.9704
0.9704 0.4707 0.9704
0.9704 0.9704 0.4707
```

Principal peaks in the range 10 to 90 degrees two-theta, in order of rising 2θ:
2theta	d [Å]	I (rel.)
26.4	3.373	11
32.5	2.754	56
37.7	2.385	100
42.4	2.133	12
54.4	1.686	11
58.0	1.590	28
64.9	1.437	9
68.1	1.376	13
71.2	1.324	9
89.6	1.094	12